1.
The following is a theoretical X-ray diffraction stick pattern of CaAl2Ag. It was derived from a DFT-relaxed cell (PBE, Alexandria), using CuKα.

Principal peaks in the range 10° ≤ 2θ ≤ 90°, sorted by position:
22.48°, intensity 63; 26.11°, intensity 14; 37.06°, intensity 100; 37.26°, intensity 49; 43.60°, intensity 11; 43.96°, intensity 21; 53.72°, intensity 16; 66.65°, intensity 16; 67.06°, intensity 32; 78.92°, intensity 10

Structure:
```
CaAl2Ag
1.0
4.8262 0.0000 0.0000
0.0000 4.8262 0.0000
0.0000 0.0000 6.8988
Ca Al Ag
2 4 2
direct
0.0000 0.0000 0.0000 Ca
0.5000 0.5000 0.5000 Ca
0.0000 0.0000 0.5000 Al
0.0000 0.5000 0.2500 Al
0.5000 0.0000 0.7500 Al
0.5000 0.5000 0.0000 Al
0.0000 0.5000 0.7500 Ag
0.5000 0.0000 0.2500 Ag
```


2.
The following is a theoretical X-ray diffraction stick pattern of Pa2Ge2AuN2. It was derived from a DFT-relaxed cell (PBE, Alexandria), using CuKα.

Principal peaks in the range 10° ≤ 2θ ≤ 90°, sorted by position:
28.32°, intensity 67; 31.19°, intensity 100; 35.51°, intensity 75; 37.56°, intensity 29; 40.89°, intensity 23; 48.25°, intensity 44; 58.58°, intensity 17; 61.32°, intensity 16; 62.71°, intensity 40; 79.21°, intensity 15

Structure:
```
Pa2Ge2AuN2
1.0
3.7724 0.0000 0.0000
-1.8862 3.2670 0.0000
0.0000 0.0000 11.9719
Pa Ge Au N
2 2 1 2
direct
0.3333 0.6667 0.2951 Pa
0.6667 0.3333 0.7049 Pa
0.0000 0.0000 0.1012 Ge
0.0000 0.0000 0.8988 Ge
0.0000 0.0000 0.5000 Au
0.3333 0.6667 0.6912 N
0.6667 0.3333 0.3088 N
```


3.
The following is a theoretical X-ray diffraction stick pattern of Pr3Er5Tm. It was derived from a DFT-relaxed cell (PBE, Alexandria), using CuKα.

Principal peaks in the range 10° ≤ 2θ ≤ 90°, sorted by position:
15.77°, intensity 30; 28.31°, intensity 23; 29.28°, intensity 54; 30.62°, intensity 19; 31.70°, intensity 39; 31.84°, intensity 100; 31.97°, intensity 27; 34.63°, intensity 31; 39.20°, intensity 51; 51.36°, intensity 19

Structure:
```
Pr3Er5Tm
1.0
7.6946 -5.6191 0.0000
7.6946 5.6191 0.0000
-6.5604 0.0000 7.6432
Pr Er Tm
6 10 2
direct
0.0000 0.0000 0.0000 Pr
0.0097 0.0097 0.3068 Pr
0.4730 0.4730 0.1334 Pr
0.5000 0.5000 0.5000 Pr
0.5270 0.5270 0.8666 Pr
0.9903 0.9903 0.6932 Pr
0.0866 0.5863 0.7435 Er
0.2146 0.2146 0.7254 Er
0.2413 0.7587 0.5000 Er
0.2803 0.2803 0.4697 Er
0.4137 0.9134 0.2565 Er
0.5863 0.0866 0.7435 Er
0.7197 0.7197 0.5303 Er
0.7587 0.2413 0.5000 Er
0.7854 0.7854 0.2746 Er
0.9134 0.4137 0.2565 Er
0.2523 0.2523 0.1070 Tm
0.7477 0.7477 0.8930 Tm
```


4.
The following is a theoretical X-ray diffraction stick pattern of ZrCd2Au8. It was derived from a DFT-relaxed cell (PBE, Alexandria), using CuKα.

Principal peaks in the range 10° ≤ 2θ ≤ 90°, sorted by position:
24.68°, intensity 18; 33.29°, intensity 20; 36.41°, intensity 100; 37.39°, intensity 30; 38.41°, intensity 40; 38.54°, intensity 40; 44.86°, intensity 30; 47.77°, intensity 28; 75.11°, intensity 13; 80.15°, intensity 17

Structure:
```
ZrCd2Au8
1.0
4.4237 -6.2333 0.0000
4.4237 6.2333 0.0000
-0.0137 0.0000 4.0405
Zr Cd Au
1 2 8
direct
0.0000 0.0000 0.0000 Zr
0.3791 0.6209 0.5000 Cd
0.6209 0.3791 0.5000 Cd
0.0452 0.2969 0.5008 Au
0.2296 0.7704 0.0000 Au
0.2969 0.0452 0.5008 Au
0.3292 0.3292 0.0005 Au
0.6708 0.6708 0.9995 Au
0.7031 0.9548 0.4992 Au
0.7704 0.2296 0.0000 Au
0.9548 0.7031 0.4992 Au
```


5.
The following is a theoretical X-ray diffraction stick pattern of La7Nd2Er4. It was derived from a DFT-relaxed cell (PBE, Alexandria), using CuKα.

Principal peaks in the range 10° ≤ 2θ ≤ 90°, sorted by position:
26.08°, intensity 15; 27.12°, intensity 24; 28.36°, intensity 23; 29.18°, intensity 38; 31.51°, intensity 100; 31.78°, intensity 24; 35.10°, intensity 26; 50.21°, intensity 27; 50.75°, intensity 17; 57.99°, intensity 12

Structure:
```
La7Nd2Er4
1.0
6.2945 0.0000 0.0000
-3.1472 5.4512 0.0000
0.0000 0.0000 13.1529
La Nd Er
7 2 4
direct
0.0000 0.0000 0.0000 La
0.0000 0.3831 0.2315 La
0.0000 0.6169 0.7685 La
0.3831 0.0000 0.2315 La
0.3831 0.3831 0.7685 La
0.6169 0.0000 0.7685 La
0.6169 0.6169 0.2315 La
0.3333 0.6667 0.0000 Nd
0.6667 0.3333 0.0000 Nd
0.0000 0.0000 0.3904 Er
0.0000 0.0000 0.6096 Er
0.3333 0.6667 0.5000 Er
0.6667 0.3333 0.5000 Er
```


6.
The following is a theoretical X-ray diffraction stick pattern of MnZnFe14. It was derived from a DFT-relaxed cell (PBE, Alexandria), using CuKα.

Principal peaks in the range 10° ≤ 2θ ≤ 90°, sorted by position:
45.07°, intensity 100; 65.65°, intensity 15; 83.19°, intensity 29

Structure:
```
MnZnFe14
1.0
2.8436 -4.0209 0.0000
2.8436 4.0209 0.0000
0.0000 0.0000 8.0514
Mn Zn Fe
1 1 14
direct
0.0000 0.0000 0.0000 Mn
0.5000 0.5000 0.0000 Zn
0.0000 0.0000 0.5000 Fe
0.0000 0.5000 0.0000 Fe
0.0000 0.5000 0.5000 Fe
0.2456 0.2456 0.2524 Fe
0.2456 0.2456 0.7476 Fe
0.2514 0.7486 0.2490 Fe
0.2514 0.7486 0.7510 Fe
0.5000 0.0000 0.0000 Fe
0.5000 0.0000 0.5000 Fe
0.5000 0.5000 0.5000 Fe
0.7486 0.2514 0.2490 Fe
0.7486 0.2514 0.7510 Fe
0.7544 0.7544 0.2524 Fe
0.7544 0.7544 0.7476 Fe
```


7.
The following is a theoretical X-ray diffraction stick pattern of Pm8Nd3Er. It was derived from a DFT-relaxed cell (PBE, Alexandria), using CuKα.

Principal peaks in the range 10° ≤ 2θ ≤ 90°, sorted by position:
14.18°, intensity 30; 23.80°, intensity 61; 25.37°, intensity 50; 28.57°, intensity 80; 30.94°, intensity 72; 32.58°, intensity 30; 35.69°, intensity 100; 42.61°, intensity 53; 43.88°, intensity 50; 68.25°, intensity 29

Structure:
```
Pm8Nd3Er
1.0
-4.4178 4.4178 5.7812
4.4178 -4.4178 5.7812
4.4178 4.4178 -5.7812
Pm Nd Er
8 3 1
direct
0.1236 0.1236 0.7518 Pm
0.2396 0.2396 0.4937 Pm
0.2540 0.7604 0.0000 Pm
0.3718 0.3718 0.2482 Pm
0.6282 0.8764 0.0000 Pm
0.7460 0.7460 0.5063 Pm
0.7604 0.2540 0.0000 Pm
0.8764 0.6282 0.0000 Pm
0.2500 0.7500 0.5000 Nd
0.5000 0.5000 0.0000 Nd
0.7500 0.2500 0.5000 Nd
0.0000 0.0000 0.0000 Er
```


8.
The following is a theoretical X-ray diffraction stick pattern of AgSb4S6. It was derived from a DFT-relaxed cell (PBE, Alexandria), using CuKα.

Principal peaks in the range 10° ≤ 2θ ≤ 90°, sorted by position:
15.96°, intensity 25; 20.24°, intensity 41; 25.83°, intensity 88; 26.12°, intensity 23; 30.58°, intensity 29; 32.27°, intensity 100; 41.03°, intensity 39; 41.31°, intensity 36; 42.74°, intensity 22; 48.47°, intensity 22

Structure:
```
AgSb4S6
1.0
5.6583 0.0000 0.0000
0.6711 5.6188 0.0000
1.5081 1.3558 8.7708
Ag Sb S
1 4 6
direct
0.0000 0.0000 0.0000 Ag
0.1031 0.6036 0.6718 Sb
0.1497 0.1629 0.2542 Sb
0.6004 0.1071 0.6728 Sb
0.7091 0.7222 0.2597 Sb
0.0657 0.0701 0.7057 S
0.1610 0.6573 0.3934 S
0.4855 0.9913 0.0563 S
0.5429 0.5471 0.7036 S
0.6504 0.1675 0.3939 S
0.9777 0.4942 0.0563 S
```


9.
The following is a theoretical X-ray diffraction stick pattern of Nd4Sm2Y7. It was derived from a DFT-relaxed cell (PBE, Alexandria), using CuKα.

Principal peaks in the range 10° ≤ 2θ ≤ 90°, sorted by position:
30.27°, intensity 99; 30.32°, intensity 99; 35.13°, intensity 100; 50.50°, intensity 47; 50.58°, intensity 23; 60.04°, intensity 69; 60.15°, intensity 14; 62.97°, intensity 12; 82.17°, intensity 14; 84.87°, intensity 18

Structure:
```
Nd4Sm2Y7
1.0
6.2544 0.0000 0.0000
2.0943 7.8049 0.0000
3.1063 1.6773 8.8803
Nd Sm Y
4 2 7
direct
0.0764 0.0399 0.1542 Nd
0.3841 0.1944 0.7685 Nd
0.6159 0.8056 0.2315 Nd
0.9236 0.9601 0.8458 Nd
0.3089 0.6523 0.6154 Sm
0.6911 0.3477 0.3846 Sm
0.0000 0.5000 0.0000 Y
0.1539 0.5755 0.3084 Y
0.2303 0.1158 0.4610 Y
0.4615 0.7293 0.9231 Y
0.5385 0.2707 0.0769 Y
0.7697 0.8842 0.5390 Y
0.8461 0.4245 0.6916 Y
```


10.
The following is a theoretical X-ray diffraction stick pattern of BPbC3. It was derived from a DFT-relaxed cell (PBE, Alexandria), using CuKα.

Principal peaks in the range 10° ≤ 2θ ≤ 90°, sorted by position:
23.82°, intensity 98; 33.94°, intensity 100; 41.89°, intensity 47; 48.76°, intensity 26; 54.96°, intensity 46; 60.73°, intensity 39; 71.43°, intensity 16; 76.51°, intensity 23; 81.48°, intensity 18; 86.39°, intensity 18

Structure:
```
BPbC3
1.0
3.7355 0.0000 0.0000
0.0000 3.7355 0.0000
0.0000 0.0000 3.7355
B Pb C
1 1 3
direct
0.0000 0.0000 0.0000 B
0.5000 0.5000 0.5000 Pb
0.0000 0.0000 0.5000 C
0.0000 0.5000 0.0000 C
0.5000 0.0000 0.0000 C
```


11.
The following is a theoretical X-ray diffraction stick pattern of NdErGaHg. It was derived from a DFT-relaxed cell (PBE, Alexandria), using CuKα.

Principal peaks in the range 10° ≤ 2θ ≤ 90°, sorted by position:
11.69°, intensity 11; 27.14°, intensity 13; 34.14°, intensity 100; 34.79°, intensity 50; 48.08°, intensity 8; 50.02°, intensity 18; 60.70°, intensity 17; 61.96°, intensity 36; 71.91°, intensity 10; 83.90°, intensity 8

Structure:
```
NdErGaHg
1.0
3.6468 0.0000 0.0000
0.0000 3.6468 0.0000
0.0000 0.0000 7.5693
Nd Er Ga Hg
1 1 1 1
direct
0.0000 0.0000 0.0000 Nd
0.0000 0.0000 0.5286 Er
0.5000 0.5000 0.7518 Ga
0.5000 0.5000 0.2893 Hg
```


12.
The following is a theoretical X-ray diffraction stick pattern of CuSiBr6. It was derived from a DFT-relaxed cell (PBE, Alexandria), using CuKα.

Principal peaks in the range 10° ≤ 2θ ≤ 90°, sorted by position:
13.29°, intensity 100; 23.89°, intensity 34; 24.75°, intensity 62; 29.69°, intensity 23; 30.40°, intensity 26; 32.93°, intensity 35; 35.60°, intensity 23; 37.96°, intensity 28; 43.00°, intensity 25; 47.76°, intensity 22

Structure:
```
CuSiBr6
1.0
5.9413 0.0000 0.0000
0.6881 6.6325 0.0000
2.6044 2.8621 6.6601
Cu Si Br
1 1 6
direct
0.0000 0.0000 0.0000 Cu
0.5000 0.5000 0.0000 Si
0.1314 0.6512 0.1871 Br
0.2610 0.1559 0.1209 Br
0.4202 0.6631 0.7004 Br
0.5798 0.3369 0.2996 Br
0.7390 0.8441 0.8791 Br
0.8686 0.3488 0.8129 Br
```


13.
The following is a theoretical X-ray diffraction stick pattern of Pu2CN6. It was derived from a DFT-relaxed cell (PBE, Alexandria), using CuKα.

Principal peaks in the range 10° ≤ 2θ ≤ 90°, sorted by position:
11.55°, intensity 100; 18.80°, intensity 20; 22.39°, intensity 8; 25.53°, intensity 8; 27.18°, intensity 7; 29.19°, intensity 9; 29.73°, intensity 28; 31.87°, intensity 9; 35.51°, intensity 8; 37.42°, intensity 9

Structure:
```
Pu2CN6
1.0
3.6190 0.0000 0.0000
-1.7816 8.0673 0.0000
-1.8030 -2.5747 7.6799
Pu C N
2 1 6
direct
0.2326 0.0928 0.3734 Pu
0.7674 0.9072 0.6266 Pu
0.5000 0.0000 0.0000 C
0.1732 0.8726 0.4720 N
0.3998 0.9606 0.8396 N
0.4493 0.4261 0.4736 N
0.5507 0.5739 0.5264 N
0.6002 0.0394 0.1604 N
0.8268 0.1274 0.5280 N
```